# Na2In2Hg7
Theoretical powder XRD pattern, λ = 1.5418 Å (Cu Kα). Input: the PBE geometry in Alexandria.

Most intense lines, 10 to 90 degrees two-theta, in order of falling intensity:
- 34.31°, I 100
- 35.57°, I 35
- 33.66°, I 21
- 62.30°, I 19
- 16.67°, I 17
- 27.06°, I 14
- 48.88°, I 14
- 25.03°, I 14
- 19.02°, I 13
- 61.52°, I 12

Crystal structure
a b c (Å): 7.4599 7.4599 5.8309
angles (deg): 107.06 107.06 88.75
Fractional positions:
Na 0.2133 0.7867 0.0000
Na 0.7867 0.2133 0.0000
In 0.2587 0.2587 0.0174
In 0.7413 0.7413 0.9826
Hg 0.0000 0.0000 0.5000
Hg 0.0883 0.5771 0.3411
Hg 0.4131 0.4131 0.6827
Hg 0.4229 0.9117 0.6589
Hg 0.5771 0.0883 0.3411
Hg 0.5869 0.5869 0.3173
Hg 0.9117 0.4229 0.6589

# NaIn2HgPb2
Theoretical powder XRD pattern, λ = 1.5418 Å (Cu Kα). Input: the PBE geometry in Alexandria.

Most intense lines, 10 to 90 degrees two-theta, in order of falling intensity:
- 32.18°, I 100
- 33.26°, I 79
- 34.64°, I 43
- 32.42°, I 37
- 65.35°, I 26
- 48.17°, I 24
- 42.35°, I 20
- 26.79°, I 18
- 45.71°, I 18
- 58.59°, I 17

Crystal structure
a b c (Å): 5.1794 9.8917 6.6562
angles (deg): 90.00 90.00 90.00
Fractional positions:
Na 0.0000 0.0002 0.0000
Na 0.0000 0.9998 0.5000
In 0.0000 0.3188 0.2508
In 0.0000 0.6812 0.7508
In 0.5000 0.1497 0.7492
In 0.5000 0.8503 0.2492
Hg 0.5000 0.1544 0.2496
Hg 0.5000 0.8456 0.7496
Pb 0.0000 0.3311 0.7507
Pb 0.0000 0.6689 0.2507
Pb 0.5000 0.5001 0.0006
Pb 0.5000 0.4999 0.5006